Rb3Cd4Pt2: computed X-ray diffraction stick pattern (Cu Kα (weighted mean of Kα1 and Kα2)), based on DFT lattice parameters and positions (GGA-PBE).
No peak broadening, texture or thermal motion is included.

Largest 8 diffraction maxima, low angle first, 10° ≤ 2θ ≤ 80°:
(2 0 -1), 14.4°, 6.151 Å, intensity 100
(2 0 0), 14.6°, 6.077 Å, intensity 35
(4 0 -1), 27.6°, 3.234 Å, intensity 44
(3 1 0), 28.8°, 3.100 Å, intensity 47
(1 1 3), 37.1°, 2.422 Å, intensity 61
(0 2 0), 37.4°, 2.407 Å, intensity 45
(3 1 2), 38.8°, 2.320 Å, intensity 31
(7 1 -1), 53.8°, 1.705 Å, intensity 29

Structural model:
Cell lengths 12.938, 4.815, 9.973 Å; angles 90.00, 110.05, 90.00 degrees
Space group C2/m (No. 12)
One atom of each set of equivalent atoms:
Rb (0.000, 0.000, 0.000) x2
Rb (0.120, 0.500, 0.373) x4
Cd (0.096, 0.000, 0.642) x4
Cd (0.234, 0.500, 0.076) x4
Pt (0.186, 0.500, 0.781) x4